Record 1
The following is a theoretical powder diffraction line list of Rb4ZnAu4. It was derived from a structure optimized by DFT (GGA-PBE), using Cu Kα (λ = 1.5418 Å).

Cell and atoms:
```
data_Rb4ZnAu4
_chemical_formula_sum 'Rb8 Zn2 Au8'
_cell_length_a 9.5484
_cell_length_b 9.5484
_cell_length_c 7.0554
_cell_angle_alpha 90.00
_cell_angle_beta 90.00
_cell_angle_gamma 90.00
_symmetry_space_group_name_H-M 'P 42/n'
_symmetry_Int_Tables_number 86
loop_
_symmetry_equiv_pos_as_xyz
'x,y,z'
'-x,-y,-z'
'-y,x+1/2,z+1/2'
'y,-x+1/2,-z+1/2'
'-x+1/2,-y+1/2,z'
'x+1/2,y+1/2,-z'
'y+1/2,-x,z+1/2'
'-y+1/2,x,-z+1/2'
loop_
_atom_site_label
_atom_site_type_symbol
_atom_site_fract_x
_atom_site_fract_y
_atom_site_fract_z
Rb1 Rb 0.0355 0.6763 0.1039
Zn1 Zn 0.2500 0.2500 0.2500
Au1 Au 0.0358 0.3728 0.4076
```

Principal peaks in the range 2θ = 5–70°, sorted by position:
(hkl), Position (°2θ), intensity
1 0 1, 15.62, 28
1 1 1, 18.19, 51
2 0 0, 18.59, 24
1 0 2, 26.94, 26
3 1 0, 29.58, 80
1 2 2, 32.93, 100

=====

Record 2
The following is a theoretical powder diffraction line list of RbMnTlSe3. It was derived from a structure optimized by DFT (GGA-PBE), using Cu Kα (λ = 1.5418 Å).

Cell and atoms:
```
data_RbMnTlSe3
_chemical_formula_sum 'Rb4 Mn4 Tl4 Se12'
_cell_length_a 7.4678
_cell_length_b 14.9017
_cell_length_c 6.9150
_cell_angle_alpha 90.00
_cell_angle_beta 90.00
_cell_angle_gamma 90.00
_symmetry_space_group_name_H-M 'C m c m'
_symmetry_Int_Tables_number 63
_symmetry_space_group_name_Hall '-C 2c 2'
loop_
_atom_site_label
_atom_site_type_symbol
_atom_site_fract_x
_atom_site_fract_y
_atom_site_fract_z
Rb1 Rb 0.0000 0.2228 0.2500
Mn1 Mn 0.0000 0.0455 0.7500
Tl1 Tl 0.0000 0.3996 0.7500
Se1 Se 0.0000 0.2068 0.7500
Se2 Se 0.2165 0.0000 0.0000
```

Principal peaks in the range 2θ = 5–70°, sorted by position:
(hkl), Position (°2θ), intensity
1 1 1, 18.47, 44
2 0 0, 23.84, 36
1 3 1, 25.09, 86
1 5 0, 32.34, 52
2 0 2, 35.39, 100
0 6 2, 44.98, 37

=====

Record 3
The following is a theoretical powder diffraction line list of Y2In5Pd3. It was derived from a structure optimized by DFT (GGA-PBE), using Cu Kα (λ = 1.5418 Å).

Cell and atoms:
```
data_Y2In5Pd3
_chemical_formula_sum 'Y8 In20 Pd12'
_cell_length_a 4.5278
_cell_length_b 26.8008
_cell_length_c 7.2386
_cell_angle_alpha 90.00
_cell_angle_beta 90.00
_cell_angle_gamma 90.00
_symmetry_space_group_name_H-M 'C m c 21'
_symmetry_Int_Tables_number 36
loop_
_symmetry_equiv_pos_as_xyz
'x,y,z'
'-x,-y,z+1/2'
'-x,y,z'
'x,-y,z+1/2'
'x+1/2,y+1/2,z'
'-x+1/2,-y+1/2,z+1/2'
'-x+1/2,y+1/2,z'
'x+1/2,-y+1/2,z+1/2'
loop_
_atom_site_label
_atom_site_type_symbol
_atom_site_fract_x
_atom_site_fract_y
_atom_site_fract_z
Y1 Y 0.0000 0.0210 0.0000
Y2 Y 0.0000 0.3251 0.9307
In1 In 0.0000 0.0983 0.6319
In2 In 0.0000 0.2068 0.1346
In3 In 0.0000 0.2080 0.7195
In4 In 0.0000 0.3761 0.4793
In5 In 0.0000 0.4470 0.8304
Pd1 Pd 0.0000 0.1088 0.2446
Pd2 Pd 0.0000 0.2732 0.4250
Pd3 Pd 0.0000 0.4550 0.2221
```

Principal peaks in the range 2θ = 5–70°, sorted by position:
(hkl), Position (°2θ), intensity
1 1 2, 31.83, 34
1 7 1, 33.04, 67
1 3 2, 33.24, 100
1 9 0, 36.10, 31
0 4 3, 39.66, 31
2 0 0, 39.82, 60

=====

Record 4
The following is a theoretical powder diffraction line list of NiOsRu. It was derived from a structure optimized by DFT (GGA-PBE), using Cu Kα (λ = 1.5418 Å).

Cell and atoms:
```
data_NiOsRu
_chemical_formula_sum 'Ni4 Os4 Ru4'
_cell_length_a 7.9658
_cell_length_b 4.5983
_cell_length_c 5.1284
_cell_angle_alpha 90.00
_cell_angle_beta 123.12
_cell_angle_gamma 90.00
_symmetry_space_group_name_H-M 'C 1 2 1'
_symmetry_Int_Tables_number 5
loop_
_symmetry_equiv_pos_as_xyz
'x,y,z'
'-x,y,-z'
'x+1/2,y+1/2,z'
'-x+1/2,y+1/2,-z'
loop_
_atom_site_label
_atom_site_type_symbol
_atom_site_fract_x
_atom_site_fract_y
_atom_site_fract_z
Ni1 Ni 0.0000 0.0000 0.0000
Ni2 Ni 0.0000 0.1688 0.5000
Os1 Os 0.1699 0.4969 0.0018
Ru1 Ru 0.1682 0.6685 0.4992
```

Principal peaks in the range 2θ = 5–70°, sorted by position:
(hkl), Position (°2θ), intensity
1 1 0, 23.50, 25
3 1 -1, 39.19, 81
0 0 2, 42.07, 76
3 1 -2, 44.14, 99
0 2 1, 44.71, 100
3 1 0, 45.30, 92

=====

Record 5
The following is a theoretical powder diffraction line list of NdAuSe. It was derived from a structure optimized by DFT (GGA-PBE), using Cu Kα (λ = 1.5418 Å).

Cell and atoms:
```
data_NdAuSe
_chemical_formula_sum 'Nd4 Au4 Se4'
_cell_length_a 4.2618
_cell_length_b 12.6534
_cell_length_c 5.6038
_cell_angle_alpha 90.00
_cell_angle_beta 90.00
_cell_angle_gamma 90.00
_symmetry_space_group_name_H-M 'C m c m'
_symmetry_Int_Tables_number 63
_symmetry_space_group_name_Hall '-C 2c 2'
loop_
_atom_site_label
_atom_site_type_symbol
_atom_site_fract_x
_atom_site_fract_y
_atom_site_fract_z
Nd1 Nd 0.0000 0.1343 0.2500
Au1 Au 0.0000 0.4682 0.2500
Se1 Se 0.0000 0.1952 0.7500
```

Principal peaks in the range 2θ = 5–70°, sorted by position:
(hkl), Position (°2θ), intensity
1 3 0, 29.80, 100
0 0 2, 31.94, 61
1 3 1, 33.91, 64
1 3 2, 44.25, 68
0 6 1, 45.98, 38
2 0 2, 54.07, 29

=====

Record 6
The following is a theoretical powder diffraction line list of K2BiPCO7. It was derived from a structure optimized by DFT (GGA-PBE), using Cu Kα (λ = 1.5418 Å).

Cell and atoms:
```
data_K2BiPCO7
_chemical_formula_sum 'K4 Bi2 P2 C2 O14'
_cell_length_a 5.9278
_cell_length_b 7.2020
_cell_length_c 9.9556
_cell_angle_alpha 90.00
_cell_angle_beta 91.40
_cell_angle_gamma 90.00
_symmetry_space_group_name_H-M 'P 1 21/m 1'
_symmetry_Int_Tables_number 11
loop_
_symmetry_equiv_pos_as_xyz
'x,y,z'
'-x,-y,-z'
'-x,y+1/2,-z'
'x,-y+1/2,z'
loop_
_atom_site_label
_atom_site_type_symbol
_atom_site_fract_x
_atom_site_fract_y
_atom_site_fract_z
K1 K 0.2421 0.0148 0.2832
Bi1 Bi 0.3062 0.2500 0.8904
P1 P 0.2335 0.7500 0.9195
C1 C 0.2430 0.2500 0.6128
O1 O 0.0266 0.2500 0.0951
O2 O 0.0692 0.2500 0.6936
O3 O 0.2232 0.2500 0.4872
O4 O 0.3029 0.7500 0.0739
O5 O 0.3409 0.5754 0.8527
O6 O 0.4428 0.2500 0.6768
```

Principal peaks in the range 2θ = 5–70°, sorted by position:
(hkl), Position (°2θ), intensity
0 0 1, 8.89, 100
0 1 1, 15.19, 33
1 1 0, 19.40, 38
1 0 -2, 23.06, 23
1 2 -1, 30.29, 24
1 0 -3, 30.53, 20

=====

Question: Number 5 is which compound?
Answer: NdAuSe